Theoretical powder diffractogram
Compound: Ni3AsO6
Radiation: Cu Kα (weighted mean of Kα1 and Kα2)
Structure: the GGA+U geometry in Alexandria
Lines closer than 0.1° are merged.

Principal peaks in the range 10° ≤ 2θ ≤ 80°, in order of falling intensity:
2θ (°)	I_rel
33.12	1000
34.07	845
33.42	457
57.67	309
50.83	289
45.56	222
59.55	185
21.84	177
42.13	172
42.93	148

Structure:
```
Ni3AsO6
1.0
4.5847 -2.6811 0.0000
4.5847 2.6811 0.0000
-2.4009 0.0000 4.2066
Ni As O
3 1 6
direct
0.0000 0.0000 0.0000
0.2556 0.2556 0.8380
0.7444 0.7444 0.1620
0.5000 0.5000 0.5000
0.1757 0.6594 0.1824
0.2858 0.2858 0.4602
0.3406 0.8243 0.8176
0.6594 0.1757 0.1824
0.7142 0.7142 0.5398
0.8243 0.3406 0.8176
```



Theoretical powder diffractogram
Compound: Ni17As6O32
Radiation: Cu Kα (weighted mean of Kα1 and Kα2)
Structure: the GGA+U geometry in Alexandria
Lines closer than 0.1° are merged.

Principal peaks in the range 10° ≤ 2θ ≤ 80°, in order of falling intensity:
2θ (°)	I_rel
43.30	1000
38.06	539
61.63	416
64.16	341
36.69	338
23.30	316
35.46	246
34.45	240
61.32	216
28.81	210

Structure:
```
Ni17As6O32
1.0
9.9359 0.0000 0.0000
0.0000 6.0467 0.0000
-3.6725 0.0000 9.7414
Ni As O
17 6 32
direct
0.0000 0.0000 0.0000
0.9996 0.2580 0.2582
0.0004 0.2580 0.7418
0.9996 0.7420 0.2582
0.0004 0.7420 0.7418
0.2569 0.2568 0.5047
0.2569 0.7432 0.5047
0.2606 0.0000 0.7510
0.2646 0.2483 0.0048
0.2646 0.7517 0.0048
0.2688 0.5000 0.2558
0.7312 0.5000 0.7442
0.7354 0.2483 0.9952
0.7354 0.7517 0.9952
0.7394 0.0000 0.2490
0.7431 0.2568 0.4953
0.7431 0.7432 0.4953
0.0000 0.0000 0.5000
0.0000 0.5000 0.0000
0.4209 0.5000 0.8082
0.4249 0.0000 0.3108
0.5751 0.0000 0.6892
0.5791 0.5000 0.1918
0.1148 0.0000 0.3896
0.1153 0.2798 0.1107
0.1153 0.7202 0.1107
0.1156 0.5000 0.8908
0.1189 0.2119 0.6151
0.1189 0.7881 0.6151
0.1300 0.0000 0.8789
0.1412 0.5000 0.3670
0.3703 0.0000 0.1340
0.3712 0.2351 0.3706
0.3705 0.2629 0.8697
0.3705 0.7371 0.8697
0.3712 0.7649 0.3706
0.3716 0.5000 0.6332
0.3852 0.0000 0.6270
0.3880 0.5000 0.1272
0.6120 0.5000 0.8728
0.6148 0.0000 0.3730
0.6284 0.5000 0.3668
0.6288 0.2351 0.6294
0.6295 0.2629 0.1303
0.6295 0.7371 0.1303
0.6288 0.7649 0.6294
0.6297 0.0000 0.8660
0.8588 0.5000 0.6330
0.8700 0.0000 0.1211
0.8811 0.2119 0.3849
0.8811 0.7881 0.3849
0.8844 0.5000 0.1092
0.8852 0.0000 0.6104
0.8847 0.2798 0.8893
0.8847 0.7202 0.8893
```



Theoretical powder diffractogram
Compound: Ni2AsO2
Radiation: Cu Kα (weighted mean of Kα1 and Kα2)
Structure: the GGA+U geometry in Alexandria
Lines closer than 0.1° are merged.

Principal peaks in the range 10° ≤ 2θ ≤ 80°, in order of falling intensity:
2θ (°)	I_rel
25.08	1000
33.79	586
47.92	558
48.53	380
32.55	364
16.11	345
70.59	329
59.66	223
55.40	214
47.62	207

Structure:
```
Ni2AsO2
1.0
-1.8758 1.8758 5.5022
1.8758 -1.8758 5.5022
1.8758 1.8758 -5.5022
Ni As O
2 1 2
direct
0.2112 0.2112 0.0000
0.7888 0.7888 0.0000
0.0000 0.0000 0.0000
0.2500 0.7500 0.5000
0.7500 0.2500 0.5000
```



Theoretical powder diffractogram
Compound: Ni3As2O8
Radiation: Cu Kα (weighted mean of Kα1 and Kα2)
Structure: the GGA+U geometry in Alexandria
Lines closer than 0.1° are merged.

Principal peaks in the range 10° ≤ 2θ ≤ 80°, in order of falling intensity:
2θ (°)	I_rel
35.46	1000
29.86	529
63.63	509
36.17	467
27.31	398
31.42	246
36.69	214
43.90	198
58.60	164
43.78	163

Structure:
```
Ni3As2O8
1.0
3.0045 -5.6937 0.0000
3.0045 5.6937 0.0000
0.0000 0.0000 8.2797
Ni As O
6 4 16
direct
0.0000 0.0000 0.0000
0.1159 0.3841 0.2500
0.3841 0.1159 0.7500
0.5000 0.5000 0.5000
0.6159 0.8841 0.2500
0.8841 0.6159 0.7500
0.1231 0.8769 0.3848
0.3769 0.6231 0.8848
0.6231 0.3769 0.1152
0.8769 0.1231 0.6152
0.0004 0.9996 0.2502
0.9996 0.0004 0.7498
0.1170 0.3585 0.4993
0.1415 0.3830 0.0007
0.2469 0.7531 0.2661
0.2531 0.7469 0.7661
0.3585 0.1170 0.5007
0.3830 0.1415 0.9993
0.5004 0.4996 0.2498
0.4996 0.5004 0.7502
0.6170 0.8585 0.0007
0.6415 0.8830 0.4993
0.7469 0.2531 0.2339
0.7531 0.2469 0.7339
0.8585 0.6170 0.9993
0.8830 0.6415 0.5007
```



Theoretical powder diffractogram
Compound: PmNiAsO6
Radiation: Cu Kα (weighted mean of Kα1 and Kα2)
Structure: the GGA+U geometry in Alexandria
Lines closer than 0.1° are merged.

Principal peaks in the range 10° ≤ 2θ ≤ 80°, in order of falling intensity:
2θ (°)	I_rel
27.30	1000
51.68	362
36.59	274
46.25	210
60.37	206
58.47	104
65.88	99
70.98	73
35.20	72
20.88	71

Structure:
```
PmNiAsO6
1.0
4.9116 0.0000 0.0000
-2.4558 4.2535 0.0000
0.0000 0.0000 5.0994
Pm Ni As O
1 1 1 6
direct
0.0000 0.0000 0.0000
0.3333 0.6667 0.5000
0.6667 0.3333 0.5000
0.3777 0.0042 0.7060
0.3777 0.3735 0.2940
0.6265 0.0042 0.2940
0.6265 0.6223 0.7060
0.9958 0.3735 0.7060
0.9958 0.6223 0.2940
```



Repeat the fifth record exactly.
Theoretical powder diffractogram
Compound: PmNiAsO6
Radiation: Cu Kα (weighted mean of Kα1 and Kα2)
Structure: the GGA+U geometry in Alexandria
Lines closer than 0.1° are merged.

Principal peaks in the range 10° ≤ 2θ ≤ 80°, in order of falling intensity:
2θ (°)	I_rel
27.30	1000
51.68	362
36.59	274
46.25	210
60.37	206
58.47	104
65.88	99
70.98	73
35.20	72
20.88	71

Structure:
```
PmNiAsO6
1.0
4.9116 0.0000 0.0000
-2.4558 4.2535 0.0000
0.0000 0.0000 5.0994
Pm Ni As O
1 1 1 6
direct
0.0000 0.0000 0.0000
0.3333 0.6667 0.5000
0.6667 0.3333 0.5000
0.3777 0.0042 0.7060
0.3777 0.3735 0.2940
0.6265 0.0042 0.2940
0.6265 0.6223 0.7060
0.9958 0.3735 0.7060
0.9958 0.6223 0.2940
```



- What is the formula in the first record?
  Ni3AsO6